This entry pairs a crystal structure of Mg7Cd with its computed PXRD pattern. Radiation: λ = 1.5418 Å (Cu Kα). Structure: the PBE geometry in Alexandria.
Peak positions follow from Bragg's law for the DFT cell and can differ from measured ones.

Principal peaks in the range 15 to 90 degrees two-theta, low angle first:
| hkl | Position (°2θ) | I/Imax |
| --- | --- | --- |
| 1 0 1 | 20.6 | 33 |
| 1 0 3 | 24.8 | 22 |
| 1 1 2 | 30.1 | 13 |
| 1 0 5 | 31.7 | 11 |
| 1 1 4 | 34.7 | 100 |
| 0 0 8 | 39.3 | 17 |
| 2 0 0 | 40.7 | 32 |
| 2 0 8 | 57.9 | 21 |
| 1 1 12 | 68.3 | 14 |
| 3 1 4 | 70.1 | 24 |

Crystal structure
Cell: 4.4375 4.4375 18.3200 Å, 90.00 90.00 90.00°
Space group I4/mmm (No. 139)
One atom of each set of equivalent atoms:
Mg  0.0000  0.0000  0.0000
Mg  0.0000  0.0000  0.2490
Mg  0.0000  0.5000  0.1232
Cd  0.0000  0.0000  0.5000


This entry pairs a crystal structure of CsPd2Br with its computed PXRD pattern. Radiation: λ = 1.5418 Å (Cu Kα). Structure: the PBE geometry in Alexandria.
Peak positions follow from Bragg's law for the DFT cell and can differ from measured ones.

Principal peaks in the range 15 to 90 degrees two-theta, low angle first:
| hkl | Position (°2θ) | I/Imax |
| --- | --- | --- |
| 1 0 1 | 16.7 | 34 |
| 1 0 3 | 22.6 | 57 |
| 1 1 2 | 24.9 | 100 |
| 2 0 0 | 31.9 | 26 |
| 2 0 2 | 33.7 | 47 |
| 2 1 1 | 36.2 | 33 |
| 2 0 4 | 38.8 | 30 |
| 1 1 6 | 39.8 | 28 |
| 2 2 4 | 51.0 | 56 |
| 3 1 2 | 52.7 | 25 |

Crystal structure
Cell: 5.6179 5.6179 16.5365 Å, 90.00 90.00 90.00°
Space group I4_1/amd (No. 141, origin choice 2)
One atom of each set of equivalent atoms:
Cs  0.0000  0.2500  0.3750
Pd  0.0000  0.0000  0.0000
Br  0.0000  0.2500  0.8750


This entry pairs a crystal structure of MgMnPd2 with its computed PXRD pattern. Radiation: λ = 1.5418 Å (Cu Kα). Structure: the PBE geometry in Alexandria.
Peak positions follow from Bragg's law for the DFT cell and can differ from measured ones.

Principal peaks in the range 15 to 90 degrees two-theta, low angle first:
| hkl | Position (°2θ) | I/Imax |
| --- | --- | --- |
| 0 0 1 | 25.6 | 16 |
| 1 1 0 | 29.9 | 22 |
| 1 1 1 | 39.7 | 100 |
| 2 0 0 | 42.8 | 40 |
| 2 0 1 | 50.5 | 10 |
| 0 0 2 | 52.6 | 11 |
| 2 2 0 | 62.1 | 13 |
| 2 0 2 | 70.0 | 18 |
| 3 1 1 | 76.3 | 27 |
| 2 2 2 | 85.7 | 10 |

Crystal structure
Cell: 4.2287 4.2287 3.4808 Å, 90.00 90.00 90.00°
Space group P4/mmm (No. 123)
One atom of each set of equivalent atoms:
Mg  0.0000  0.0000  0.0000
Mn  0.5000  0.5000  0.0000
Pd  0.0000  0.5000  0.5000